[1]
Computed PXRD pattern
Compound: CsSnTe4Au3
Radiation: Cu Kα (weighted mean of Kα1 and Kα2)
Structure: DFT lattice parameters and positions (GGA-PBE)

Atomic structure:
```
data_CsSnTe4Au3
_cell_length_a 6.6127
_cell_length_b 8.6152
_cell_length_c 11.3022
_cell_angle_alpha 90.00
_cell_angle_beta 101.31
_cell_angle_gamma 90.00
_space_group_name_H-M_alt 'P 1'
_space_group_IT_number 1
loop_
_space_group_symop_operation_xyz
'x,y,z'
loop_
_atom_site_label
_atom_site_fract_x
_atom_site_fract_y
_atom_site_fract_z
_atom_site_occupancy
Cs1 0.2183 0.2500 0.3706 1
Cs2 0.7817 0.7500 0.6294 1
Sn1 0.1123 0.2500 0.7729 1
Sn2 0.8877 0.7500 0.2271 1
Te1 0.0151 0.7500 0.0006 1
Te2 0.2025 0.7500 0.4272 1
Te3 0.3457 0.5408 0.7739 1
Te4 0.3457 0.9592 0.7739 1
Te5 0.6543 0.0408 0.2261 1
Te6 0.6543 0.4592 0.2261 1
Te7 0.7975 0.2500 0.5728 1
Te8 0.9849 0.2500 0.9994 1
Au1 0.3436 0.5640 0.0540 1
Au2 0.3436 0.9360 0.0540 1
Au3 0.4994 0.7500 0.2919 1
Au4 0.5006 0.2500 0.7081 1
Au5 0.6564 0.0640 0.9460 1
Au6 0.6564 0.4360 0.9460 1
```

Largest 12 diffraction maxima, by intensity, 5° ≤ 2θ ≤ 70°:
2θ (°)	I_rel
7.98	100
25.28	94
13.02	55
43.94	44
34.18	42
30.10	41
22.14	40
39.22	39
29.05	36
31.13	34
39.77	32
13.66	28

---

[2]
Computed PXRD pattern
Compound: CsZnCoS3
Radiation: Cu Kα (weighted mean of Kα1 and Kα2)
Structure: DFT lattice parameters and positions (GGA-PBE)

Atomic structure:
```
data_CsZnCoS3
_cell_length_a 7.8688
_cell_length_b 7.8688
_cell_length_c 9.5853
_cell_angle_alpha 90.00
_cell_angle_beta 90.00
_cell_angle_gamma 153.10
_space_group_name_H-M_alt 'P 1'
_space_group_IT_number 1
loop_
_space_group_symop_operation_xyz
'x,y,z'
loop_
_atom_site_label
_atom_site_fract_x
_atom_site_fract_y
_atom_site_fract_z
_atom_site_occupancy
Cs1 0.2491 0.7509 0.7500 1
Cs2 0.7509 0.2491 0.2500 1
Zn1 0.0349 0.9651 0.2500 1
Zn2 0.9651 0.0349 0.7500 1
Co1 0.5000 0.5000 0.0000 1
Co2 0.5000 0.5000 0.5000 1
S1 0.0959 0.9041 0.0330 1
S2 0.0959 0.9041 0.4670 1
S3 0.4434 0.5566 0.2500 1
S4 0.5566 0.4434 0.7500 1
S5 0.9041 0.0959 0.5330 1
S6 0.9041 0.0959 0.9670 1
```

Largest 12 diffraction maxima, by intensity, 5° ≤ 2θ ≤ 70°:
2θ (°)	I_rel
31.49	100
23.25	42
21.88	42
37.53	38
29.88	33
26.71	29
41.48	27
49.48	26
56.89	24
57.17	24
42.89	24
18.51	23

---

[3]
Computed PXRD pattern
Compound: Tl2SiHgSe4
Radiation: Cu Kα (weighted mean of Kα1 and Kα2)
Structure: DFT lattice parameters and positions (GGA-PBE)

Atomic structure:
```
data_Tl2SiHgSe4
_cell_length_a 6.6610
_cell_length_b 6.6610
_cell_length_c 6.6610
_cell_angle_alpha 105.22
_cell_angle_beta 105.22
_cell_angle_gamma 118.35
_space_group_name_H-M_alt 'P 1'
_space_group_IT_number 1
loop_
_space_group_symop_operation_xyz
'x,y,z'
loop_
_atom_site_label
_atom_site_fract_x
_atom_site_fract_y
_atom_site_fract_z
_atom_site_occupancy
Tl1 0.0000 0.5000 0.5000 1
Tl2 0.5000 0.0000 0.5000 1
Si1 0.0000 0.0000 0.0000 1
Hg1 0.5000 0.5000 0.0000 1
Se1 0.0426 0.0426 0.6758 1
Se2 0.3668 0.3668 0.3242 1
Se3 0.6332 0.9574 0.0000 1
Se4 0.9574 0.6332 0.0000 1
```

Largest 12 diffraction maxima, by intensity, 5° ≤ 2θ ≤ 70°:
2θ (°)	I_rel
34.38	100
21.98	63
27.91	56
31.27	55
41.19	48
52.60	34
57.68	33
50.45	31
63.46	21
35.08	19
30.50	18
58.71	15